Starting from DFT lattice parameters and positions (GGA+U), the X-ray powder pattern of Rb4Cr3AgF12 was simulated for a wavelength of 1.5418 Å.

Structural model:
```
data_Rb4Cr3AgF12
_cell_length_a 8.667
_cell_length_b 8.667
_cell_length_c 8.667
_cell_angle_alpha 90.00
_cell_angle_beta 90.00
_cell_angle_gamma 90.00
_symmetry_space_group_name_H-M 'I m -3 m'
_symmetry_Int_Tables_number 229
_symmetry_space_group_name_Hall '-I 4 2 3'
loop_
_atom_site_label
_atom_site_fract_x
_atom_site_fract_y
_atom_site_fract_z
Rb1 0.250 0.250 0.250
Cr1 0.000 0.000 0.500
Ag1 0.000 0.000 0.000
F1 0.000 0.000 0.275
F2 0.000 0.250 0.500
```

Largest 10 diffraction maxima, low angle first, 2θ from 10° to 80°:
2θ/deg	I (rel.)	(hkl)
14.5	3	1 1 0
29.1	100	2 2 0
35.9	12	2 2 2
38.9	3	3 2 1
41.7	44	4 0 0
51.7	38	4 2 2
60.4	26	4 4 0
68.5	17	6 2 0
72.3	3	6 2 2
76.1	8	4 4 4